(1)
Diffraction record for Zr2Ag2Sn. The powder XRD pattern is theoretical, not measured: it uses a structure optimized by DFT (PBE) and Cu Kα.
Neutral-atom scattering factors, no anomalous dispersion.

Most intense lines, 2θ = 10–90°, sorted by position:
26.25°, 3.395 Å, I 9; 32.06°, 2.792 Å, I 14; 34.85°, 2.574 Å, I 36; 35.97°, 2.497 Å, I 62; 36.72°, 2.448 Å, I 100; 41.22°, 2.190 Å, I 14; 45.07°, 2.012 Å, I 14; 49.53°, 1.840 Å, I 10; 54.01°, 1.698 Å, I 13; 66.35°, 1.409 Å, I 18; 66.61°, 1.404 Å, I 20; 69.88°, 1.346 Å, I 12

Atomic structure:
a = 7.896 Å, b = 7.896 Å, c = 3.395 Å
α = 90.00°, β = 90.00°, γ = 90.00°
Element x y z (fractional)
Zr 0.173 0.327 0.000
Zr 0.327 0.827 0.000
Zr 0.673 0.173 0.000
Zr 0.827 0.673 0.000
Ag 0.124 0.624 0.500
Ag 0.376 0.124 0.500
Ag 0.624 0.876 0.500
Ag 0.876 0.376 0.500
Sn 0.000 0.000 0.500
Sn 0.500 0.500 0.500

(2)
Diffraction record for SrAg7. The powder XRD pattern is theoretical, not measured: it uses a structure optimized by DFT (PBE) and Cu Kα.
Neutral-atom scattering factors, no anomalous dispersion.

Most intense lines, 2θ = 10–90°, sorted by position:
35.94°, 2.499 Å, I 100; 41.74°, 2.164 Å, I 49; 60.50°, 1.530 Å, I 31; 72.42°, 1.305 Å, I 36; 76.20°, 1.249 Å, I 10

Atomic structure:
a = 6.121 Å, b = 6.121 Å, c = 6.121 Å
α = 60.00°, β = 60.00°, γ = 60.00°
Element x y z (fractional)
Sr 0.000 0.000 0.000
Ag 0.000 0.000 0.500
Ag 0.000 0.500 0.000
Ag 0.000 0.500 0.500
Ag 0.500 0.000 0.000
Ag 0.500 0.000 0.500
Ag 0.500 0.500 0.000
Ag 0.500 0.500 0.500

(3)
Diffraction record for SrAg2. The powder XRD pattern is theoretical, not measured: it uses a structure optimized by DFT (PBE) and Cu Kα.
Neutral-atom scattering factors, no anomalous dispersion.

Most intense lines, 2θ = 10–90°, sorted by position:
20.69°, 4.294 Å, I 35; 30.33°, 2.947 Å, I 100; 32.80°, 2.730 Å, I 65; 40.72°, 2.216 Å, I 49; 41.79°, 2.162 Å, I 42; 42.57°, 2.124 Å, I 15; 53.24°, 1.721 Å, I 31; 58.94°, 1.567 Å, I 16; 59.76°, 1.547 Å, I 29; 67.73°, 1.383 Å, I 19; 79.16°, 1.210 Å, I 12; 88.89°, 1.101 Å, I 9

Atomic structure:
a = 4.432 Å, b = 4.432 Å, c = 17.331 Å
α = 90.00°, β = 90.00°, γ = 90.00°
Element x y z (fractional)
Sr 0.000 0.250 0.375
Sr 0.000 0.750 0.625
Sr 0.500 0.250 0.125
Sr 0.500 0.750 0.875
Ag 0.000 0.250 0.796
Ag 0.000 0.250 0.954
Ag 0.000 0.750 0.046
Ag 0.000 0.750 0.204
Ag 0.500 0.250 0.546
Ag 0.500 0.250 0.704
Ag 0.500 0.750 0.296
Ag 0.500 0.750 0.454

(4)
Diffraction record for Sr3Ag8. The powder XRD pattern is theoretical, not measured: it uses a structure optimized by DFT (PBE) and Cu Kα.
Neutral-atom scattering factors, no anomalous dispersion.

Most intense lines, 2θ = 10–90°, sorted by position:
21.35°, 4.162 Å, I 27; 29.90°, 2.989 Å, I 41; 31.29°, 2.859 Å, I 100; 33.44°, 2.679 Å, I 15; 38.68°, 2.328 Å, I 43; 39.37°, 2.289 Å, I 36; 42.13°, 2.145 Å, I 29; 43.02°, 2.102 Å, I 28; 45.15°, 2.008 Å, I 19; 50.21°, 1.817 Å, I 19; 59.22°, 1.560 Å, I 24; 59.72°, 1.548 Å, I 20

Atomic structure:
a = 15.192 Å, b = 15.192 Å, c = 15.192 Å
α = 164.09°, β = 162.67°, γ = 23.61°
Element x y z (fractional)
Sr 0.000 0.000 0.000
Sr 0.353 0.853 0.500
Sr 0.647 0.147 0.500
Ag 0.098 0.598 0.500
Ag 0.190 0.690 0.500
Ag 0.253 0.253 0.000
Ag 0.453 0.453 0.000
Ag 0.547 0.547 0.000
Ag 0.747 0.747 0.000
Ag 0.810 0.310 0.500
Ag 0.902 0.402 0.500

(5)
Diffraction record for Sr2Ag. The powder XRD pattern is theoretical, not measured: it uses a structure optimized by DFT (PBE) and Cu Kα.
Neutral-atom scattering factors, no anomalous dispersion.

Most intense lines, 2θ = 10–90°, sorted by position:
15.72°, 5.638 Å, I 40; 27.88°, 3.200 Å, I 100; 29.28°, 3.050 Å, I 61; 31.74°, 2.819 Å, I 38; 33.40°, 2.683 Å, I 99; 35.61°, 2.521 Å, I 59; 45.32°, 2.001 Å, I 26; 48.73°, 1.869 Å, I 33; 55.03°, 1.669 Å, I 37; 61.39°, 1.510 Å, I 16; 63.15°, 1.472 Å, I 21; 64.94°, 1.436 Å, I 16

Atomic structure:
a = 7.974 Å, b = 7.974 Å, c = 7.254 Å
α = 90.00°, β = 90.00°, γ = 90.00°
Element x y z (fractional)
Sr 0.178 0.322 0.000
Sr 0.178 0.678 0.500
Sr 0.322 0.178 0.500
Sr 0.322 0.822 0.000
Sr 0.678 0.178 0.000
Sr 0.678 0.822 0.500
Sr 0.822 0.322 0.500
Sr 0.822 0.678 0.000
Ag 0.000 0.000 0.250
Ag 0.000 0.000 0.750
Ag 0.500 0.500 0.250
Ag 0.500 0.500 0.750

(6)
Diffraction record for SrAg2. The powder XRD pattern is theoretical, not measured: it uses a structure optimized by DFT (PBE) and Cu Kα.
Neutral-atom scattering factors, no anomalous dispersion.

Most intense lines, 2θ = 10–90°, sorted by position:
29.53°, 3.024 Å, I 20; 33.16°, 2.702 Å, I 36; 35.22°, 2.548 Å, I 100; 35.56°, 2.524 Å, I 69; 37.17°, 2.419 Å, I 27; 37.44°, 2.402 Å, I 17; 38.05°, 2.365 Å, I 23; 54.74°, 1.677 Å, I 17; 56.14°, 1.638 Å, I 28; 60.35°, 1.534 Å, I 22; 61.30°, 1.512 Å, I 29; 74.47°, 1.274 Å, I 18

Atomic structure:
a = 6.049 Å, b = 6.049 Å, c = 18.921 Å
α = 90.00°, β = 90.00°, γ = 120.00°
Element x y z (fractional)
Sr 0.000 0.000 0.096
Sr 0.000 0.000 0.404
Sr 0.000 0.000 0.596
Sr 0.000 0.000 0.904
Sr 0.333 0.667 0.155
Sr 0.333 0.667 0.345
Sr 0.667 0.333 0.655
Sr 0.667 0.333 0.845
Ag 0.000 0.500 0.000
Ag 0.000 0.500 0.500
Ag 0.168 0.335 0.750
Ag 0.168 0.832 0.750
Ag 0.333 0.667 0.623
Ag 0.333 0.667 0.877
Ag 0.335 0.168 0.250
Ag 0.500 0.000 0.000
Ag 0.500 0.000 0.500
Ag 0.500 0.500 0.000
Ag 0.500 0.500 0.500
Ag 0.665 0.832 0.750
Ag 0.667 0.333 0.123
Ag 0.667 0.333 0.377
Ag 0.832 0.168 0.250
Ag 0.832 0.665 0.250